(1)
Simulated powder XRD pattern of Y2HoScSe6 for Cu Kα, from the GGA-PBE geometry in Alexandria.
Intensities are scaled so that the largest is 100.

Peak list (10 most intense, 2θ = 10–90°, sorted by position)
d [Å]	I_rel
5.175	35
3.781	30
3.103	100
2.588	27
2.375	87
2.091	21
2.049	59
1.827	20
1.551	21
1.237	17

Atomic structure:
Cell lengths 7.0972, 7.0972, 19.1841 Å; angles 90.00, 90.00, 120.00 degrees
Space group R3 (No. 146, hexagonal axes)
Symmetry-distinct sites (fractional):
Y (0.0000, 0.0000, 0.0000) (multiplicity 3)
Y (0.0000, 0.0000, 0.4979) (multiplicity 3)
Ho (0.0000, 0.0000, 0.1948) (multiplicity 3)
Sc (0.0000, 0.0000, 0.6921) (multiplicity 3)
Se (0.0319, 0.3437, 0.7649) (multiplicity 9)
Se (0.0376, 0.6759, 0.2674) (multiplicity 9)

***

(2)
Simulated powder XRD pattern of TaIn2Sb for Cu Kα, from the GGA-PBE geometry in Alexandria.
Intensities are scaled so that the largest is 100.

Peak list (10 most intense, 2θ = 10–90°, sorted by position)
d [Å]	I_rel
2.629	53
2.569	100
2.548	49
2.401	83
1.830	36
1.512	19
1.506	19
1.470	17
1.420	15
1.409	15

Atomic structure:
Cell lengths 5.867, 10.516, 3.200 Å; angles 90.00, 113.07, 90.00 degrees
Space group C2/m (No. 12)
Symmetry-distinct sites (fractional):
Ta (0.000, 0.000, 0.000) (multiplicity 2)
In (0.250, 0.250, 0.500) (multiplicity 4)
Sb (0.000, 0.500, 0.000) (multiplicity 2)

***

(3)
Simulated powder XRD pattern of Nd6Dy16Th7 for Cu Kα, from the GGA-PBE geometry in Alexandria.
Intensities are scaled so that the largest is 100.

Peak list (10 most intense, 2θ = 10–90°, sorted by position)
d [Å]	I_rel
7.991	7
3.262	6
2.825	100
2.702	9
2.527	7
1.998	14
1.754	6
1.631	28
1.413	8
1.264	8

Atomic structure:
Cell lengths 15.983, 15.983, 15.983 Å; angles 90.00, 90.00, 90.00 degrees
Space group Fm-3m (No. 225)
Symmetry-distinct sites (fractional):
Nd (0.000, 0.000, 0.241) (multiplicity 24)
Dy (0.129, 0.129, 0.371) (multiplicity 32)
Dy (0.155, 0.155, 0.155) (multiplicity 32)
Th (0.000, 0.000, 0.500) (multiplicity 4)
Th (0.000, 0.250, 0.250) (multiplicity 24)

***

(4)
Simulated powder XRD pattern of AcLuO3 for Cu Kα, from the GGA-PBE geometry in Alexandria.
Intensities are scaled so that the largest is 100.

Peak list (10 most intense, 2θ = 10–90°, sorted by position)
d [Å]	I_rel
4.264	1
3.015	100
2.462	3
2.132	26
1.741	42
1.507	17
1.348	19
1.286	1
1.231	6
1.140	23

Atomic structure:
Cell lengths 4.264, 4.264, 4.264 Å; angles 90.00, 90.00, 90.00 degrees
Space group Pm-3m (No. 221)
Symmetry-distinct sites (fractional):
Ac (0.000, 0.000, 0.000) (multiplicity 1)
Lu (0.500, 0.500, 0.500) (multiplicity 1)
O (0.000, 0.500, 0.500) (multiplicity 3)

***

(5)
Simulated powder XRD pattern of NaNbTe3 for Cu Kα, from the GGA-PBE geometry in Alexandria.
Intensities are scaled so that the largest is 100.

Peak list (10 most intense, 2θ = 10–90°, sorted by position)
d [Å]	I_rel
6.524	33
3.632	36
3.262	25
2.887	59
2.832	80
2.815	100
2.787	19
2.712	19
2.233	32
1.822	35

Atomic structure:
Cell lengths 13.053, 14.199, 6.370 Å; angles 90.00, 91.51, 90.00 degrees
Space group C2/c (No. 15)
Symmetry-distinct sites (fractional):
Na (0.142, 0.082, 0.091) (multiplicity 8)
Nb (0.000, 0.329, 0.750) (multiplicity 4)
Nb (0.000, 0.441, 0.250) (multiplicity 4)
Te (0.084, 0.145, 0.608) (multiplicity 8)
Te (0.132, 0.304, 0.094) (multiplicity 8)
Te (0.150, 0.434, 0.581) (multiplicity 8)

***

(6)
Simulated powder XRD pattern of ErU5As6 for Cu Kα, from the GGA-PBE geometry in Alexandria.
Intensities are scaled so that the largest is 100.

Peak list (10 most intense, 2θ = 10–90°, sorted by position)
d [Å]	I_rel
3.343	32
3.319	10
2.890	100
2.049	38
2.038	37
1.671	20
1.445	13
1.295	18
1.290	12
1.181	9

Atomic structure:
Cell lengths 7.093, 12.301, 7.049 Å; angles 90.00, 109.68, 90.00 degrees
Space group C2/m (No. 12)
Symmetry-distinct sites (fractional):
Er (0.000, 0.000, 0.000) (multiplicity 2)
U (0.000, 0.168, 0.500) (multiplicity 4)
U (0.000, 0.334, 0.000) (multiplicity 4)
U (0.000, 0.500, 0.500) (multiplicity 2)
As (0.248, 0.000, 0.749) (multiplicity 4)
As (0.249, 0.166, 0.248) (multiplicity 8)

***

(7)
Simulated powder XRD pattern of GdDyPtRh for Cu Kα, from the GGA-PBE geometry in Alexandria.
Intensities are scaled so that the largest is 100.

Peak list (10 most intense, 2θ = 10–90°, sorted by position)
d [Å]	I_rel
4.015	4
2.459	100
2.097	3
1.739	18
1.595	1
1.420	36
1.338	1
1.229	11
1.175	1
1.100	17

Atomic structure:
Cell lengths 6.954, 6.954, 6.954 Å; angles 90.00, 90.00, 90.00 degrees
Space group F-43m (No. 216)
Symmetry-distinct sites (fractional):
Gd (0.000, 0.000, 0.000) (multiplicity 4)
Dy (0.000, 0.000, 0.500) (multiplicity 4)
Pt (0.250, 0.250, 0.750) (multiplicity 4)
Rh (0.250, 0.250, 0.250) (multiplicity 4)

***

(8)
Simulated powder XRD pattern of EuTiNbBi2O9 for Cu Kα, from the GGA-PBE geometry in Alexandria.
Intensities are scaled so that the largest is 100.

Peak list (10 most intense, 2θ = 10–90°, sorted by position)
d [Å]	I_rel
6.367	27
3.840	17
3.098	100
3.080	100
2.759	32
2.734	33
2.547	25
1.942	30
1.871	34
1.649	23

Atomic structure:
Cell lengths 5.469, 5.518, 13.002 Å; angles 90.00, 101.66, 90.00 degrees
Space group P2_1 (No. 4)
Symmetry-distinct sites (fractional):
Eu (0.246, 0.000, 0.000) (multiplicity 2)
Ti (0.331, 0.473, 0.168) (multiplicity 2)
Nb (0.175, 0.470, 0.831) (multiplicity 2)
Bi (0.021, 0.052, 0.601) (multiplicity 2)
Bi (0.425, 0.061, 0.398) (multiplicity 2)
O (0.019, 0.463, 0.688) (multiplicity 2)
O (0.025, 0.234, 0.122) (multiplicity 2)
O (0.095, 0.732, 0.123) (multiplicity 2)
O (0.240, 0.282, 0.501) (multiplicity 2)
O (0.261, 0.782, 0.502) (multiplicity 2)
O (0.323, 0.455, 0.307) (multiplicity 2)
O (0.327, 0.434, 0.000) (multiplicity 2)
O (0.371, 0.154, 0.830) (multiplicity 2)
O (0.469, 0.658, 0.829) (multiplicity 2)